(1)
This entry pairs a crystal structure of CoOsRh3 with its simulated powder XRD pattern. Radiation: copper Kα. Structure: a DFT-relaxed cell (PBE, Alexandria).

The 10 most intense peaks (15° ≤ 2θ ≤ 90°), in order of rising 2θ:
d/Å  intensity
5.171  75
2.444  42
2.291  51
2.182  73
2.152  67
2.137  100
2.042  68
1.979  76
1.902  64
1.851  52

Atomic structure:
Lattice parameters (Å, degrees): 9.090 2.652 6.288 90.00 90.00 90.00
Element x y z (fractional)
Co: 0.250 0.000 0.244
Co: 0.750 0.000 0.756
Os: 0.250 0.500 0.584
Os: 0.750 0.500 0.416
Rh: 0.000 0.000 0.500
Rh: 0.110 0.000 0.893
Rh: 0.390 0.000 0.893
Rh: 0.500 0.000 0.500
Rh: 0.610 0.000 0.107
Rh: 0.890 0.000 0.107

=====

(2)
This entry pairs a crystal structure of CoOsRh6 with its simulated powder XRD pattern. Radiation: copper Kα. Structure: a DFT-relaxed cell (PBE, Alexandria).

The 10 most intense peaks (15° ≤ 2θ ≤ 90°), in order of rising 2θ:
d/Å  intensity
5.389  9
3.115  5
2.201  100
2.038  3
1.909  16
1.905  32
1.348  30
1.151  12
1.149  24
1.101  11

Atomic structure:
Lattice parameters (Å, degrees): 5.389 5.389 3.818 90.00 90.00 90.00
Element x y z (fractional)
Co: 0.000 0.000 0.000
Os: 0.500 0.500 0.000
Rh: 0.000 0.500 0.000
Rh: 0.250 0.250 0.500
Rh: 0.250 0.750 0.500
Rh: 0.500 0.000 0.000
Rh: 0.750 0.250 0.500
Rh: 0.750 0.750 0.500

=====

(3)
This entry pairs a crystal structure of Co3OsRu with its simulated powder XRD pattern. Radiation: copper Kα. Structure: a DFT-relaxed cell (PBE, Alexandria).

The 10 most intense peaks (15° ≤ 2θ ≤ 90°), in order of rising 2θ:
d/Å  intensity
4.383  48
3.099  100
2.191  84
1.960  23
1.789  42
1.550  54
1.461  11
1.386  18
1.265  18
1.171  22

Atomic structure:
Lattice parameters (Å, degrees): 4.383 4.383 4.383 90.00 90.00 90.00
Element x y z (fractional)
Co: 0.000 0.000 0.500
Co: 0.000 0.500 0.000
Co: 0.500 0.000 0.000
Os: 0.000 0.000 0.000
Ru: 0.500 0.500 0.500

=====

(4)
This entry pairs a crystal structure of CoOsRu2 with its simulated powder XRD pattern. Radiation: copper Kα. Structure: a DFT-relaxed cell (PBE, Alexandria).

The 10 most intense peaks (15° ≤ 2θ ≤ 90°), in order of rising 2θ:
d/Å  intensity
3.361  24
2.168  100
2.078  7
1.881  32
1.870  16
1.642  7
1.330  10
1.326  20
1.134  25
1.129  12

Atomic structure:
Lattice parameters (Å, degrees): 4.590 4.590 4.590 131.60 131.60 70.86
Element x y z (fractional)
Co: 0.000 0.000 0.000
Os: 0.500 0.500 0.000
Ru: 0.250 0.750 0.500
Ru: 0.750 0.250 0.500

=====

(5)
This entry pairs a crystal structure of V5Co2OsRu2 with its simulated powder XRD pattern. Radiation: copper Kα. Structure: a DFT-relaxed cell (PBE, Alexandria).

The 10 most intense peaks (15° ≤ 2θ ≤ 90°), in order of rising 2θ:
d/Å  intensity
4.656  10
3.292  13
3.113  11
2.945  31
2.260  43
2.139  100
2.082  23
1.987  12
1.556  12
1.389  12

Atomic structure:
Lattice parameters (Å, degrees): 9.312 9.312 3.113 90.00 90.00 90.00
Element x y z (fractional)
V: 0.000 0.500 0.000
V: 0.072 0.200 0.000
V: 0.200 0.928 0.000
V: 0.300 0.428 0.000
V: 0.428 0.700 0.000
V: 0.500 0.000 0.000
V: 0.572 0.300 0.000
V: 0.700 0.572 0.000
V: 0.800 0.072 0.000
V: 0.928 0.800 0.000
Co: 0.129 0.371 0.500
Co: 0.371 0.871 0.500
Co: 0.629 0.129 0.500
Co: 0.871 0.629 0.500
Os: 0.000 0.000 0.500
Os: 0.500 0.500 0.500
Ru: 0.167 0.667 0.500
Ru: 0.333 0.167 0.500
Ru: 0.667 0.833 0.500
Ru: 0.833 0.333 0.500

=====

(6)
This entry pairs a crystal structure of Co3SbOs with its simulated powder XRD pattern. Radiation: copper Kα. Structure: a DFT-relaxed cell (PBE, Alexandria).

The 10 most intense peaks (15° ≤ 2θ ≤ 90°), in order of rising 2θ:
d/Å  intensity
4.476  32
3.165  100
2.584  10
2.238  78
2.002  15
1.827  43
1.582  51
1.415  19
1.292  17
1.196  22

Atomic structure:
Lattice parameters (Å, degrees): 4.476 4.476 4.476 90.00 90.00 90.00
Element x y z (fractional)
Co: 0.000 0.000 0.500
Co: 0.000 0.500 0.000
Co: 0.500 0.000 0.000
Sb: 0.500 0.500 0.500
Os: 0.000 0.000 0.000

=====

(7)
This entry pairs a crystal structure of Sc4CoOs3 with its simulated powder XRD pattern. Radiation: copper Kα. Structure: a DFT-relaxed cell (PBE, Alexandria).

The 10 most intense peaks (15° ≤ 2θ ≤ 90°), in order of rising 2θ:
d/Å  intensity
4.264  8
3.200  39
2.262  100
1.847  12
1.599  11
1.432  8
1.430  8
1.307  22
1.305  11
1.132  7

Atomic structure:
Lattice parameters (Å, degrees): 7.163 7.161 4.521 71.62 71.58 36.80
Element x y z (fractional)
Sc: 0.124 0.124 0.376
Sc: 0.376 0.376 0.124
Sc: 0.624 0.624 0.876
Sc: 0.876 0.876 0.624
Co: 0.000 0.000 0.000
Os: 0.250 0.250 0.750
Os: 0.500 0.500 0.500
Os: 0.750 0.750 0.250

=====

(8)
This entry pairs a crystal structure of ScCoSnOs with its simulated powder XRD pattern. Radiation: copper Kα. Structure: a DFT-relaxed cell (PBE, Alexandria).

The 10 most intense peaks (15° ≤ 2θ ≤ 90°), in order of rising 2θ:
d/Å  intensity
3.660  30
3.170  5
2.241  100
1.912  16
1.585  17
1.454  7
1.418  2
1.294  34
1.220  6
1.121  11

Atomic structure:
Lattice parameters (Å, degrees): 4.483 4.483 4.483 60.00 60.00 60.00
Element x y z (fractional)
Sc: 0.000 0.000 0.000
Co: 0.750 0.750 0.750
Sn: 0.500 0.500 0.500
Os: 0.250 0.250 0.250